Entry 1:
For BaAg4Ge2, a DFT-relaxed cell (GGA-PBE, Alexandria) gives the calculated powder XRD pattern in this record (λ = 1.5418 Å (Cu Kα)).
Neutral-atom scattering factors, no anomalous dispersion.

Structure:
Cell: 4.6424 14.2606 4.6724 Å, 90.00 90.00 90.00°
Element x y z (fractional)
Ba (0.0000, 0.0000, 0.0000)
Ba (0.5000, 0.5000, 0.0000)
Ag (0.0000, 0.1879, 0.5000)
Ag (0.0000, 0.3129, 0.0000)
Ag (0.0000, 0.6871, 0.0000)
Ag (0.0000, 0.8121, 0.5000)
Ag (0.5000, 0.1871, 0.0000)
Ag (0.5000, 0.3121, 0.5000)
Ag (0.5000, 0.6879, 0.5000)
Ag (0.5000, 0.8129, 0.0000)
Ge (0.0000, 0.4082, 0.5000)
Ge (0.0000, 0.5918, 0.5000)
Ge (0.5000, 0.0918, 0.5000)
Ge (0.5000, 0.9082, 0.5000)

Top 6 peaks for 2θ = 15–90°, in order of rising 2θ:
2θ 33.09, I 100
2θ 38.54, I 32
2θ 38.80, I 31
2θ 41.90, I 35
2θ 55.83, I 21
2θ 66.28, I 12

=====

Entry 2:
For MgHgTe2, a DFT-relaxed cell (GGA-PBE, Alexandria) gives the calculated powder XRD pattern in this record (λ = 1.5418 Å (Cu Kα)).
Neutral-atom scattering factors, no anomalous dispersion.

Structure:
Cell: 8.0872 4.4018 15.2841 Å, 90.00 90.00 90.00°
Element x y z (fractional)
Mg (0.0669, 0.2500, 0.0716)
Mg (0.4331, 0.7500, 0.5716)
Mg (0.5669, 0.2500, 0.4284)
Mg (0.9331, 0.7500, 0.9284)
Hg (0.1887, 0.2500, 0.7047)
Hg (0.3113, 0.7500, 0.2047)
Hg (0.6887, 0.2500, 0.7953)
Hg (0.8113, 0.7500, 0.2953)
Te (0.0457, 0.2500, 0.2560)
Te (0.2474, 0.2500, 0.5112)
Te (0.2526, 0.7500, 0.0112)
Te (0.4543, 0.7500, 0.7560)
Te (0.5457, 0.2500, 0.2440)
Te (0.7474, 0.2500, 0.9888)
Te (0.7526, 0.7500, 0.4888)
Te (0.9543, 0.7500, 0.7440)

Top 6 peaks for 2θ = 15–90°, in order of rising 2θ:
2θ 15.96, I 53
2θ 23.28, I 76
2θ 23.74, I 80
2θ 30.59, I 100
2θ 37.51, I 85
2θ 41.01, I 47

=====

Entry 3:
For K4Rb6Cd, a DFT-relaxed cell (GGA-PBE, Alexandria) gives the calculated powder XRD pattern in this record (λ = 1.5418 Å (Cu Kα)).
Neutral-atom scattering factors, no anomalous dispersion.

Structure:
Cell: 11.6172 11.6172 12.4962 Å, 90.00 90.00 90.00°
Element x y z (fractional)
K (0.1373, 0.3627, 0.2500)
K (0.1373, 0.3627, 0.7500)
K (0.3627, 0.8627, 0.2500)
K (0.3627, 0.8627, 0.7500)
K (0.6373, 0.1373, 0.2500)
K (0.6373, 0.1373, 0.7500)
K (0.8627, 0.6373, 0.2500)
K (0.8627, 0.6373, 0.7500)
Rb (0.0000, 0.0000, 0.1930)
Rb (0.0000, 0.0000, 0.8070)
Rb (0.1408, 0.6901, 0.5000)
Rb (0.1901, 0.6408, 0.0000)
Rb (0.3099, 0.1408, 0.5000)
Rb (0.3592, 0.1901, 0.0000)
Rb (0.5000, 0.5000, 0.3070)
Rb (0.5000, 0.5000, 0.6930)
Rb (0.6408, 0.8099, 0.0000)
Rb (0.6901, 0.8592, 0.5000)
Rb (0.8099, 0.3592, 0.0000)
Rb (0.8592, 0.3099, 0.5000)
Cd (0.0000, 0.0000, 0.5000)
Cd (0.5000, 0.5000, 0.0000)

Top 6 peaks for 2θ = 15–90°, in order of rising 2θ:
2θ 22.25, I 100
2θ 22.68, I 33
2θ 24.23, I 82
2θ 28.58, I 27
2θ 35.22, I 29
2θ 37.80, I 26

=====

Entry 4:
For TbTm7Pb2, a DFT-relaxed cell (GGA-PBE, Alexandria) gives the calculated powder XRD pattern in this record (λ = 1.5418 Å (Cu Kα)).
Neutral-atom scattering factors, no anomalous dispersion.

Structure:
Cell: 8.9707 8.9707 5.3468 Å, 90.00 90.00 119.21°
Element x y z (fractional)
Tb (0.0000, 0.0000, 0.0000)
Tm (0.0600, 0.3011, 0.5000)
Tm (0.2212, 0.7788, 0.0000)
Tm (0.3011, 0.0600, 0.5000)
Tm (0.5000, 0.5000, 0.5000)
Tm (0.6989, 0.9400, 0.5000)
Tm (0.7788, 0.2212, 0.0000)
Tm (0.9400, 0.6989, 0.5000)
Pb (0.3061, 0.6939, 0.5000)
Pb (0.6939, 0.3061, 0.5000)

Top 6 peaks for 2θ = 15–90°, in order of rising 2θ:
2θ 16.58, I 58
2θ 28.48, I 41
2θ 30.36, I 56
2θ 33.52, I 57
2θ 34.55, I 69
2θ 34.92, I 100

=====

Repeat the third record exactly.
For K4Rb6Cd, a DFT-relaxed cell (GGA-PBE, Alexandria) gives the calculated powder XRD pattern in this record (λ = 1.5418 Å (Cu Kα)).
Neutral-atom scattering factors, no anomalous dispersion.

Structure:
Cell: 11.6172 11.6172 12.4962 Å, 90.00 90.00 90.00°
Element x y z (fractional)
K (0.1373, 0.3627, 0.2500)
K (0.1373, 0.3627, 0.7500)
K (0.3627, 0.8627, 0.2500)
K (0.3627, 0.8627, 0.7500)
K (0.6373, 0.1373, 0.2500)
K (0.6373, 0.1373, 0.7500)
K (0.8627, 0.6373, 0.2500)
K (0.8627, 0.6373, 0.7500)
Rb (0.0000, 0.0000, 0.1930)
Rb (0.0000, 0.0000, 0.8070)
Rb (0.1408, 0.6901, 0.5000)
Rb (0.1901, 0.6408, 0.0000)
Rb (0.3099, 0.1408, 0.5000)
Rb (0.3592, 0.1901, 0.0000)
Rb (0.5000, 0.5000, 0.3070)
Rb (0.5000, 0.5000, 0.6930)
Rb (0.6408, 0.8099, 0.0000)
Rb (0.6901, 0.8592, 0.5000)
Rb (0.8099, 0.3592, 0.0000)
Rb (0.8592, 0.3099, 0.5000)
Cd (0.0000, 0.0000, 0.5000)
Cd (0.5000, 0.5000, 0.0000)

Top 6 peaks for 2θ = 15–90°, in order of rising 2θ:
2θ 22.25, I 100
2θ 22.68, I 33
2θ 24.23, I 82
2θ 28.58, I 27
2θ 35.22, I 29
2θ 37.80, I 26

=====

Number 4 is which compound? TbTm7Pb2